Li9Mn2Co5O16: calculated powder X-ray diffraction pattern (a wavelength of 1.5418 Å), based on the PBE+U geometry in the Materials Project.
No peak broadening, texture or thermal motion is included.

The 8 most intense peaks (5 to 70 degrees two-theta), sorted by position:
h k l  Position (°2θ)  I (rel.)
4 0 0  18.28  100
2 0 -4  35.28  14
3 1 -2  36.22  25
2 0 4  42.62  27
7 1 -2  43.87  53
11 1 -2  57.72  10
9 1 2  62.69  14
5 1 -6  62.96  13

Lattice parameters (Å, degrees): 21.080 2.891 10.303 90.00 112.95 90.00
Space group Cm (No. 8)
Inequivalent atoms, fractional coordinates:
Li 0.000 0.000 0.000 x2
Li 0.000 0.500 0.261 x2
Li 0.003 0.000 0.521 x2
Li 0.120 0.500 0.689 x2
Li 0.234 0.000 0.863 x2
Li 0.241 0.500 0.119 x2
Li 0.243 0.000 0.381 x2
Li 0.244 0.500 0.623 x2
Li 0.497 0.000 0.744 x2
Mn 0.121 0.500 0.190 x2
Mn 0.370 0.500 0.065 x2
Co 0.116 0.000 0.916 x2
Co 0.124 0.000 0.464 x2
Co 0.370 0.000 0.812 x2
Co 0.370 0.500 0.563 x2
Co 0.371 0.000 0.318 x2
O 0.059 0.000 0.734 x2
O 0.060 0.500 0.464 x2
O 0.064 0.000 0.215 x2
O 0.067 0.500 0.988 x2
O 0.174 0.500 0.392 x2
O 0.177 0.000 0.164 x2
O 0.180 0.500 0.914 x2
O 0.182 0.000 0.646 x2
O 0.312 0.000 0.593 x2
O 0.314 0.000 0.086 x2
O 0.315 0.500 0.347 x2
O 0.319 0.500 0.857 x2
O 0.422 0.500 0.267 x2
O 0.425 0.500 0.784 x2
O 0.427 0.000 0.042 x2
O 0.429 0.000 0.535 x2